The following is a simulated PXRD pattern of Dy12Y7Ho. It was derived from a PBE-relaxed structure, using Cu Kα (weighted mean of Kα1 and Kα2).

Peak list (10 most intense, 15 to 90 degrees two-theta, most intense first)
2θ (°), Rel. int.
31.90, 100.0
29.77, 78.5
30.71, 48.1
39.35, 29.0
42.28, 23.8
27.28, 19.6
51.45, 16.9
23.95, 15.8
59.30, 14.0
47.54, 13.7

Crystal structure
```
20
Lattice="6.4040 3.6974 4.5607 -6.4040 3.6974 4.5607 0.0000 -7.3947 4.5607" Properties=species:S:1:pos:R:3 pbc="T T T"
Dy -1.7160 -1.4623 4.7262
Dy -3.5907 1.1132 5.7319
Dy -2.7594 -2.5531 7.9502
Dy 0.8313 -3.6663 5.7319
Dy -0.4084 2.2172 4.7262
Dy 2.1244 -0.7550 4.7262
Dy -2.1244 0.7550 8.9559
Dy 0.4084 -2.2172 8.9559
Dy -0.8313 3.6663 7.9502
Dy 2.7594 2.5531 5.7319
Dy 3.5907 -1.1132 7.9502
Dy 1.7160 1.4623 8.9559
Y -0.4207 -2.2271 2.0358
Y -1.7183 1.4779 2.0358
Y 2.1390 0.7492 2.0358
Y 0.0000 0.0000 6.8411
Y -2.1391 -0.7492 11.6463
Y 1.7184 -1.4779 11.6463
Y 0.4207 2.2271 11.6463
Ho 0.0000 0.0000 0.0000
```